For KCr2N, a GGA-PBE-relaxed structure gives the computed powder diffractogram in this record (Cu Kα (weighted mean of Kα1 and Kα2)).
Intensities are scaled so that the largest is 100.

Main lines, by angle (5 to 70 degrees two-theta):
17.16°, intensity 43; 28.20°, intensity 45; 33.19°, intensity 100; 34.71°, intensity 64; 40.30°, intensity 8; 44.10°, intensity 10; 49.91°, intensity 14; 53.16°, intensity 31; 58.31°, intensity 40; 61.26°, intensity 6; 68.76°, intensity 10; 69.67°, intensity 20

Structural model:
Lattice parameters (Å, degrees): 6.330 6.330 6.330 60.00 60.00 60.00
Element x y z (fractional)
K 0.125 0.125 0.125
K 0.875 0.875 0.875
Cr 0.000 0.500 0.500
Cr 0.500 0.000 0.500
Cr 0.500 0.500 0.000
Cr 0.500 0.500 0.500
N 0.375 0.375 0.375
N 0.625 0.625 0.625